(1)
Theoretical X-ray powder pattern
Compound: CaAgBi2Se4
Radiation: copper Kα
Structure: the GGA-PBE geometry in Alexandria

Cell and atoms:
Cell lengths 6.0328, 6.0328, 11.8580 Å; angles 90.00, 90.00, 90.00 degrees
Space group I-4m2 (No. 119)
Unique sites:
Ca  0.0000  0.0000  0.0000
Ag  0.0000  0.5000  0.7500
Bi  0.0000  0.0000  0.5000
Bi  0.0000  0.5000  0.2500
Se  0.0000  0.0000  0.2534
Se  0.0000  0.5000  0.0014

Principal peaks in the range 2θ = 15–90°, low angle first:
(hkl)  Position (°2θ)  intensity
1 0 1  16.5  353
1 1 2  25.7  217
2 0 0  29.6  1000
0 0 4  30.1  477
2 2 0  42.4  377
2 0 4  42.8  733
2 2 4  52.9  392
4 2 0  69.7  172
4 0 4  70.0  170
4 2 4  77.8  255



(2)
Theoretical X-ray powder pattern
Compound: Mg14AlW
Radiation: copper Kα
Structure: the GGA-PBE geometry in Alexandria

Cell and atoms:
Cell lengths 6.2330, 6.2330, 10.0364 Å; angles 90.00, 90.00, 120.00 degrees
Space group P-6m2 (No. 187)
Unique sites:
Mg  0.0000  0.0000  0.2493
Mg  0.0139  0.5069  0.2567
Mg  0.3344  0.1672  0.0000
Mg  0.3338  0.1669  0.5000
Al  0.3333  0.6667  0.0000
W  0.3333  0.6667  0.5000

Principal peaks in the range 2θ = 15–90°, low angle first:
(hkl)  Position (°2θ)  intensity
1 0 0  16.4  426
1 0 1  18.7  559
1 0 2  24.2  282
2 0 0  33.2  288
0 0 4  35.8  253
2 0 2  37.8  1000
1 0 4  39.6  190
2 0 4  49.6  183
2 0 6  65.7  188
2 2 4  71.2  189



(3)
Theoretical X-ray powder pattern
Compound: CeThCO
Radiation: copper Kα
Structure: the GGA-PBE geometry in Alexandria

Cell and atoms:
Cell lengths 3.6462, 3.6462, 5.1713 Å; angles 90.00, 90.00, 90.00 degrees
Space group P4/mmm (No. 123)
Unique sites:
Ce  0.0000  0.0000  0.0000
Th  0.5000  0.5000  0.5000
C  0.5000  0.5000  0.0000
O  0.0000  0.0000  0.5000

Principal peaks in the range 2θ = 15–90°, low angle first:
(hkl)  Position (°2θ)  intensity
1 0 1  30.0  1000
0 0 2  34.7  233
1 1 0  34.8  463
2 0 0  50.0  495
1 0 3  59.3  156
2 1 1  59.4  310
2 0 2  62.3  169
2 1 3  81.2  131
1 1 4  83.7  75
3 1 0  83.9  149



(4)
Theoretical X-ray powder pattern
Compound: Ba3Cd7In4
Radiation: copper Kα
Structure: the GGA-PBE geometry in Alexandria

Cell and atoms:
Cell lengths 18.3570, 5.2112, 10.2801 Å; angles 90.00, 123.77, 90.00 degrees
Space group C2/m (No. 12)
Unique sites:
Ba  0.0000  0.0000  0.0000
Ba  0.2066  0.5000  0.7080
Cd  0.0000  0.0000  0.5000
Cd  0.9999  0.5000  0.3245
Cd  0.1402  0.0000  0.8566
Cd  0.1555  0.5000  0.2974
In  0.1416  0.0000  0.4275
In  0.1557  0.5000  0.0140

Principal peaks in the range 2θ = 15–90°, low angle first:
(hkl)  Position (°2θ)  intensity
1 1 2  30.0  747
5 1 -2  30.1  747
3 1 1  30.3  598
3 1 -3  31.2  524
1 1 -3  33.4  652
0 2 0  34.4  1000
6 0 0  35.3  468
3 1 -4  39.5  444
6 2 -2  45.7  303
6 2 0  50.1  334



(5)
Theoretical X-ray powder pattern
Compound: Sm2TmS
Radiation: copper Kα
Structure: the GGA-PBE geometry in Alexandria

Cell and atoms:
Cell lengths 3.7435, 3.7435, 29.9860 Å; angles 90.00, 90.00, 120.00 degrees
Space group R-3m (No. 166, hexagonal axes)
Unique sites:
Sm  0.0000  0.0000  0.1108
Tm  0.0000  0.0000  0.0000
S  0.0000  0.0000  0.5000

Principal peaks in the range 2θ = 15–90°, low angle first:
(hkl)  Position (°2θ)  intensity
0 0 9  26.8  515
1 0 1  27.7  1000
0 1 2  28.2  473
1 0 7  34.7  141
0 1 8  36.6  661
1 0 10  41.0  498
1 1 0  48.6  404
1 1 9  56.4  401
2 0 8  62.4  139
1 1 18  76.6  211



(6)
Theoretical X-ray powder pattern
Compound: LiIn4Pb3
Radiation: copper Kα
Structure: the GGA-PBE geometry in Alexandria

Cell and atoms:
Cell lengths 25.1966, 3.2879, 5.4880 Å; angles 90.00, 99.10, 90.00 degrees
Space group C2/m (No. 12)
Unique sites:
Li  0.0000  0.0000  0.0000
In  0.0930  0.5000  0.1200
In  0.2137  0.0000  0.2164
Pb  0.0000  0.5000  0.5000
Pb  0.1549  0.5000  0.6668

Principal peaks in the range 2θ = 15–90°, low angle first:
(hkl)  Position (°2θ)  intensity
1 1 0  27.4  850
6 0 1  29.1  849
8 0 -1  30.8  904
1 1 -1  31.7  688
2 0 -2  32.7  1000
7 1 0  37.3  586
5 1 1  38.0  608
7 1 -1  39.2  575
3 1 -2  43.3  319
9 1 -2  51.5  257



(7)
Theoretical X-ray powder pattern
Compound: ThS6F2
Radiation: copper Kα
Structure: the GGA-PBE geometry in Alexandria

Cell and atoms:
Cell lengths 3.9608, 7.6115, 8.5594 Å; angles 69.15, 78.91, 76.24 degrees
Space group P-1 (No. 2)
Unique sites:
Th  0.0000  0.0000  0.0000
S  0.0740  0.3925  0.8257
S  0.1855  0.9843  0.5665
S  0.2084  0.6895  0.2955
F  0.4470  0.0840  0.1157

Principal peaks in the range 2θ = 15–90°, low angle first:
(hkl)  Position (°2θ)  intensity
0 1 2  21.8  1000
1 0 0  23.3  745
0 2 0  25.5  534
0 2 2  28.0  343
0 1 -2  29.3  831
0 2 -1  31.1  460
-1 1 2  35.8  955
1 1 -2  37.9  482
0 3 0  38.6  444
1 3 2  39.1  449



(8)
Theoretical X-ray powder pattern
Compound: Dy6Tm
Radiation: copper Kα
Structure: the GGA-PBE geometry in Alexandria

Cell and atoms:
Cell lengths 6.4365, 6.4365, 10.9583 Å; angles 90.00, 90.00, 90.00 degrees
Space group P4/nbm (No. 125, origin choice 2)
Unique sites:
Dy  0.0819  0.5819  0.1383
Dy  0.2500  0.2500  0.3610
Tm  0.2500  0.7500  0.5000

Principal peaks in the range 2θ = 15–90°, low angle first:
(hkl)  Position (°2θ)  intensity
2 0 1  28.9  1000
1 1 3  31.4  786
2 1 1  32.2  587
0 0 4  32.7  287
2 1 2  35.2  768
2 0 3  37.2  231
2 2 0  39.6  272
3 1 4  56.3  531
4 1 2  61.8  231
3 3 3  66.8  269



Which formula does entry 1 have? CaAgBi2Se4